Entry 1:
Starting from DFT lattice parameters and positions (PBE), the powder X-ray diffraction pattern of K2AlAuI6 was simulated for Cu Kα (λ = 1.5418 Å).

Cell and atoms:
Lattice parameters (Å, degrees): 8.2011 8.2011 8.2011 60.00 60.00 60.00
Positions (direct):
K1 0.2500 0.2500 0.2500
K2 0.7500 0.7500 0.7500
Al1 0.0000 0.0000 0.0000
Au1 0.5000 0.5000 0.5000
I1 0.2430 0.2430 0.7570
I2 0.2430 0.7570 0.2430
I3 0.2430 0.7570 0.7570
I4 0.7570 0.2430 0.2430
I5 0.7570 0.2430 0.7570
I6 0.7570 0.7570 0.2430

The 8 most intense peaks (2θ from 10° to 90°), in order of rising 2θ:
15.28°, I 74
26.62°, I 65
30.84°, I 100
34.59°, I 41
44.17°, I 73
52.32°, I 27
54.84°, I 25
72.96°, I 32

Entry 2:
Starting from DFT lattice parameters and positions (PBE), the powder X-ray diffraction pattern of Rb3Bi2I9 was simulated for Cu Kα (λ = 1.5418 Å).

Cell and atoms:
Lattice parameters (Å, degrees): 15.1309 8.4483 26.0771 90.00 124.86 90.00
Positions (direct):
Rb1 0.0417 0.0272 0.3936
Rb2 0.0417 0.4728 0.8936
Rb3 0.3081 0.5232 0.7765
Rb4 0.3081 0.9768 0.2765
Rb5 0.3744 0.0199 0.0614
Rb6 0.3744 0.4801 0.5614
Rb7 0.6256 0.5199 0.4386
Rb8 0.6256 0.9801 0.9386
Rb9 0.6919 0.0232 0.7235
Rb10 0.6919 0.4768 0.2235
Rb11 0.9583 0.5272 0.1064
Rb12 0.9583 0.9728 0.6064
Bi1 0.1747 0.5067 0.3414
Bi2 0.1747 0.9933 0.8414
Bi3 0.3207 0.5100 0.1575
Bi4 0.3207 0.9900 0.6575
Bi5 0.6793 0.0100 0.3425
Bi6 0.6793 0.4900 0.8425
Bi7 0.8253 0.0067 0.1586
Bi8 0.8253 0.4933 0.6586
I1 0.0542 0.6792 0.7552
I2 0.0542 0.8208 0.2552
I3 0.0942 0.5747 0.4207
I4 0.0942 0.9253 0.9207
I5 0.1439 0.1928 0.5573
I6 0.1439 0.3072 0.0573
I7 0.1863 0.6975 0.6132
I8 0.1863 0.8025 0.1132
I9 0.2405 0.0843 0.7458
I10 0.2405 0.4157 0.2458
I11 0.2884 0.2118 0.4129
I12 0.2884 0.2882 0.9129
I13 0.3735 0.7032 0.4208
I14 0.3735 0.7968 0.9208
I15 0.4106 0.5694 0.0823
I16 0.4106 0.9306 0.5823
I17 0.4768 0.1937 0.2188
I18 0.4768 0.3063 0.7188
I19 0.5232 0.6937 0.2812
I20 0.5232 0.8063 0.7812
I21 0.5894 0.0694 0.4177
I22 0.5894 0.4306 0.9177
I23 0.6265 0.2032 0.0792
I24 0.6265 0.2968 0.5792
I25 0.7116 0.7118 0.0871
I26 0.7116 0.7882 0.5871
I27 0.7595 0.5843 0.7542
I28 0.7595 0.9157 0.2542
I29 0.8137 0.1975 0.8868
I30 0.8137 0.3025 0.3868
I31 0.8561 0.6928 0.9427
I32 0.8561 0.8072 0.4427
I33 0.9058 0.0747 0.0793
I34 0.9058 0.4253 0.5793
I35 0.9458 0.1792 0.7448
I36 0.9458 0.3208 0.2448

The 8 most intense peaks (2θ from 10° to 90°), in order of rising 2θ:
14.57°, I 84
24.14°, I 44
24.93°, I 46
25.58°, I 35
29.06°, I 74
29.34°, I 100
32.37°, I 39
36.56°, I 41

Entry 3:
Starting from DFT lattice parameters and positions (PBE), the powder X-ray diffraction pattern of Mg2GaW3S8 was simulated for Cu Kα (λ = 1.5418 Å).

Cell and atoms:
Lattice parameters (Å, degrees): 6.9700 7.0196 7.5250 62.70 62.42 60.32
Positions (direct):
Mg1 0.0000 0.0000 0.0000
Mg2 0.2538 0.2535 0.2390
Ga1 0.5987 0.5988 0.2042
W1 0.0543 0.6459 0.6513
W2 0.6429 0.0648 0.6491
W3 0.6488 0.6465 0.6517
S1 0.3587 0.3626 0.4415
S2 0.3596 0.8403 0.4420
S3 0.3851 0.3891 0.8411
S4 0.4060 0.8451 0.9058
S5 0.8377 0.3635 0.4409
S6 0.8434 0.4023 0.9108
S7 0.8434 0.8456 0.9044
S8 0.8706 0.8748 0.3851

The 8 most intense peaks (2θ from 10° to 90°), in order of rising 2θ:
13.91°, I 100
15.22°, I 28
15.37°, I 58
17.32°, I 21
27.59°, I 25
29.88°, I 27
35.04°, I 82
48.66°, I 23